The following is a computed PXRD pattern of Cs3Rb2Hg4Au2. It was derived from a crystal structure in Alexandria, relaxed with PBE, using Cu Kα, 1.54184 Å.
Intensities are scaled so that the largest is 100.

The 10 most intense peaks (5° ≤ 2θ ≤ 70°), by angle:
- hkl 0 0 4, 2θ 15.01, I 30.4
- hkl 0 1 4, 2θ 25.21, I 100.0
- hkl 1 0 5, 2θ 27.67, I 98.8
- hkl 0 0 9, 2θ 34.17, I 23.4
- hkl 1 1 0, 2θ 35.25, I 95.7
- hkl 2 0 4, 2θ 43.83, I 23.0
- hkl 0 2 5, 2θ 45.39, I 26.1
- hkl 1 1 9, 2θ 49.91, I 48.6
- hkl 1 1 10, 2θ 52.88, I 25.8
- hkl 2 1 5, 2θ 58.74, I 24.4

Structure:
a = 5.0924 Å, b = 5.0924 Å, c = 23.6159 Å
α = 90.00°, β = 90.00°, γ = 120.00°
Element x y z (fractional)
Cs1 0.0000 0.0000 0.0000
Cs2 0.0000 0.0000 0.2098
Cs3 0.0000 0.0000 0.7902
Rb1 0.3333 0.6667 0.5807
Rb2 0.6667 0.3333 0.4193
Hg1 0.3333 0.6667 0.3218
Hg2 0.3333 0.6667 0.8950
Hg3 0.6667 0.3333 0.1050
Hg4 0.6667 0.3333 0.6782
Au1 0.3333 0.6667 0.1121
Au2 0.6667 0.3333 0.8879